Diffraction record for Zn3Ga3Ir2Rh. The X-ray diffraction stick pattern is simulated, not measured: it uses a crystal structure in Alexandria, relaxed with GGA-PBE and Cu Kα, 1.54184 Å.
Intensities are scaled so that the largest is 100.

Structural model:
Cell: 7.2017 7.2017 2.9940 Å, 90.00 90.00 120.00°
Fractional positions:
Zn 0.0000 0.3843 0.0000
Zn 0.3843 0.0000 0.0000
Zn 0.6157 0.6157 0.0000
Ga 0.0000 0.7124 0.5000
Ga 0.2876 0.2876 0.5000
Ga 0.7124 0.0000 0.5000
Ir 0.3333 0.6667 0.5000
Ir 0.6667 0.3333 0.5000
Rh 0.0000 0.0000 0.0000

Principal peaks in the range 2θ = 10–90°, by angle:
24.72 deg, I 56, hkl 1 1 0; 33.19 deg, I 32, hkl 1 0 1; 38.18 deg, I 21, hkl 2 1 0; 39.13 deg, I 80, hkl 1 1 1; 41.83 deg, I 67, hkl 2 0 1; 43.53 deg, I 100, hkl 3 0 0; 49.19 deg, I 46, hkl 2 1 1; 61.98 deg, I 21, hkl 0 0 2; 73.33 deg, I 32, hkl 3 2 1; 78.78 deg, I 34, hkl 3 0 2